Structure and simulated PXRD pattern of LiCo3P6O20 (a PBE+U-relaxed structure; Cu Ka).
Intensities are scaled so that the largest is 1000.

The 6 most intense peaks (2θ = 5–70°), sorted by position:
14.46°, rel. 471; 18.18°, rel. 576; 22.00°, rel. 1000; 23.06°, rel. 456; 23.18°, rel. 472; 29.17°, rel. 381

Cell and atoms:
abc: 8.373 8.373 12.247
angles: 90.00 90.00 105.14
Positions (direct):
Li: 0.089 0.089 0.000
Li: 0.911 0.911 0.500
Co: 0.197 0.803 0.750
Co: 0.260 0.740 0.250
Co: 0.376 0.376 0.000
Co: 0.624 0.624 0.500
Co: 0.740 0.260 0.750
Co: 0.803 0.197 0.250
P: 0.130 0.412 0.684
P: 0.200 0.319 0.220
P: 0.237 0.654 0.513
P: 0.319 0.200 0.780
P: 0.346 0.763 0.987
P: 0.412 0.130 0.316
P: 0.588 0.870 0.816
P: 0.654 0.237 0.487
P: 0.681 0.800 0.280
P: 0.763 0.346 0.013
P: 0.800 0.681 0.720
P: 0.870 0.588 0.184
O: 0.025 0.727 0.198
O: 0.038 0.225 0.271
O: 0.144 0.469 0.558
O: 0.157 0.560 0.759
O: 0.180 0.779 0.583
O: 0.184 0.655 0.395
O: 0.221 0.820 0.917
O: 0.225 0.038 0.729
O: 0.228 0.240 0.108
O: 0.232 0.503 0.205
O: 0.240 0.228 0.892
O: 0.273 0.975 0.302
O: 0.290 0.341 0.696
O: 0.335 0.576 0.974
O: 0.341 0.290 0.304
O: 0.345 0.816 0.105
O: 0.424 0.665 0.526
O: 0.440 0.843 0.741
O: 0.469 0.144 0.442
O: 0.497 0.768 0.295
O: 0.503 0.232 0.795
O: 0.531 0.856 0.942
O: 0.560 0.157 0.241
O: 0.576 0.335 0.026
O: 0.655 0.184 0.605
O: 0.659 0.710 0.804
O: 0.665 0.424 0.474
O: 0.710 0.659 0.196
O: 0.727 0.025 0.802
O: 0.760 0.772 0.392
O: 0.768 0.497 0.705
O: 0.772 0.760 0.608
O: 0.775 0.962 0.229
O: 0.779 0.180 0.417
O: 0.816 0.345 0.895
O: 0.820 0.221 0.083
O: 0.843 0.440 0.259
O: 0.856 0.531 0.058
O: 0.962 0.775 0.771
O: 0.975 0.273 0.698

Structure and simulated PXRD pattern of LiCoP2O7 (a PBE+U-relaxed structure; Cu Ka).
Intensities are scaled so that the largest is 1000.

The 6 most intense peaks (2θ = 5–70°), sorted by position:
13.33°, rel. 1000; 19.42°, rel. 783; 25.81°, rel. 401; 27.70°, rel. 825; 28.25°, rel. 742; 33.84°, rel. 283

Cell and atoms:
abc: 8.113 8.113 8.198
angles: 117.58 117.58 39.69
Positions (direct):
Li: 0.178 0.822 0.500
Li: 0.822 0.178 0.000
Co: 0.763 0.784 0.681
Co: 0.784 0.763 0.181
P: 0.021 0.315 0.824
P: 0.236 0.528 0.032
P: 0.315 0.021 0.324
P: 0.528 0.236 0.532
O: 0.031 0.722 0.892
O: 0.058 0.105 0.244
O: 0.097 0.661 0.197
O: 0.105 0.058 0.744
O: 0.272 0.277 0.425
O: 0.277 0.272 0.925
O: 0.430 0.497 0.587
O: 0.481 0.872 0.175
O: 0.485 0.860 0.481
O: 0.497 0.430 0.087
O: 0.661 0.097 0.697
O: 0.722 0.031 0.392
O: 0.860 0.485 0.981
O: 0.872 0.481 0.675

Structure and simulated PXRD pattern of Li2CoP2O7 (a PBE+U-relaxed structure; Cu Ka).
Intensities are scaled so that the largest is 1000.

The 6 most intense peaks (2θ = 5–70°), sorted by position:
17.19°, rel. 1000; 22.00°, rel. 341; 24.24°, rel. 318; 30.70°, rel. 280; 31.84°, rel. 279; 35.31°, rel. 316

Cell and atoms:
abc: 5.084 13.406 9.362
angles: 90.00 120.32 90.00
Positions (direct):
Li: 0.034 0.110 0.363
Li: 0.034 0.390 0.863
Li: 0.424 0.198 0.165
Li: 0.424 0.302 0.665
Li: 0.576 0.698 0.335
Li: 0.576 0.802 0.835
Li: 0.966 0.610 0.137
Li: 0.966 0.890 0.637
Co: 0.038 0.160 0.737
Co: 0.038 0.340 0.237
Co: 0.962 0.660 0.763
Co: 0.962 0.840 0.263
P: 0.267 0.679 0.533
P: 0.267 0.821 0.033
P: 0.474 0.529 0.775
P: 0.474 0.971 0.275
P: 0.526 0.029 0.725
P: 0.526 0.471 0.225
P: 0.733 0.179 0.967
P: 0.733 0.321 0.467
O: 0.001 0.691 0.355
O: 0.001 0.809 0.855
O: 0.201 0.731 0.658
O: 0.201 0.769 0.158
O: 0.219 0.535 0.819
O: 0.219 0.965 0.319
O: 0.272 0.107 0.628
O: 0.272 0.393 0.128
O: 0.304 0.561 0.578
O: 0.304 0.939 0.078
O: 0.403 0.574 0.219
O: 0.403 0.926 0.719
O: 0.428 0.211 0.951
O: 0.428 0.289 0.451
O: 0.572 0.711 0.549
O: 0.572 0.789 0.049
O: 0.597 0.074 0.281
O: 0.597 0.426 0.781
O: 0.696 0.061 0.922
O: 0.696 0.439 0.422
O: 0.728 0.607 0.872
O: 0.728 0.893 0.372
O: 0.781 0.035 0.681
O: 0.781 0.465 0.181
O: 0.799 0.231 0.842
O: 0.799 0.269 0.342
O: 0.999 0.191 0.145
O: 0.999 0.309 0.645

Structure and simulated PXRD pattern of Li3Co3P4O16 (a PBE+U-relaxed structure; Cu Ka).
Intensities are scaled so that the largest is 1000.

The 6 most intense peaks (2θ = 5–70°), sorted by position:
16.29°, rel. 1000; 20.28°, rel. 529; 21.75°, rel. 819; 23.46°, rel. 753; 25.43°, rel. 681; 35.44°, rel. 576

Cell and atoms:
abc: 5.081 7.684 8.017
angles: 87.90 89.10 85.69
Positions (direct):
Li: 0.000 0.000 0.000
Li: 0.177 0.807 0.723
Li: 0.690 0.300 0.498
Co: 0.087 0.927 0.373
Co: 0.493 0.504 0.217
Co: 0.572 0.393 0.838
P: 0.053 0.601 0.052
P: 0.120 0.203 0.668
P: 0.552 0.105 0.166
P: 0.623 0.708 0.548
O: 0.027 0.757 0.935
O: 0.042 0.152 0.488
O: 0.143 0.048 0.788
O: 0.158 0.643 0.230
O: 0.272 0.456 0.002
O: 0.285 0.018 0.176
O: 0.390 0.291 0.661
O: 0.405 0.852 0.502
O: 0.529 0.262 0.286
O: 0.548 0.636 0.726
O: 0.626 0.168 0.987
O: 0.636 0.554 0.426
O: 0.776 0.970 0.225
O: 0.782 0.516 0.068
O: 0.896 0.787 0.543
O: 0.904 0.347 0.715